# 1
# Cs2KMg2Cl7
Simulated X-ray diffraction stick pattern, Cu Kα. Input: a structure optimized by DFT (PBE).

Most intense lines, 10 to 80 degrees two-theta, most intense first:
2θ (°)  I_rel
31.73  100.0
35.14  69.1
24.65  48.6
23.95  43.9
19.97  42.9
25.53  30.7
60.92  30.5
50.54  22.6
49.03  19.9
40.73  19.8

```
Cs2KMg2Cl7
1.0
-2.554 2.554 13.537
2.554 -2.554 13.537
2.554 2.554 -13.537
Cs K Mg Cl
2 1 2 7
Direct
0.182 0.182 0.000 Cs
0.818 0.818 0.000 Cs
0.000 0.000 0.000 K
0.407 0.407 0.000 Mg
0.593 0.593 0.000 Mg
0.090 0.590 0.500 Cl
0.315 0.315 0.000 Cl
0.410 0.910 0.500 Cl
0.500 0.500 0.000 Cl
0.590 0.090 0.500 Cl
0.685 0.685 0.000 Cl
0.910 0.410 0.500 Cl
```

# 2
# TmPu2S5
Simulated X-ray diffraction stick pattern, Cu Kα. Input: a structure optimized by DFT (PBE).

Most intense lines, 10 to 80 degrees two-theta, most intense first:
2θ (°)  I_rel
26.58  100.0
39.91  66.4
20.55  62.8
34.04  31.6
35.70  24.4
40.09  23.3
41.54  18.9
50.15  18.4
54.75  17.2
64.88  16.0

```
TmPu2S5
1.0
0.000 4.323 7.545
2.634 0.000 7.545
2.634 4.323 0.000
Tm Pu S
1 2 5
Direct
0.000 0.000 0.000 Tm
0.322 0.322 0.678 Pu
0.678 0.678 0.322 Pu
0.009 0.680 0.320 S
0.320 0.991 0.009 S
0.500 0.500 0.500 S
0.680 0.009 0.991 S
0.991 0.320 0.680 S
```

# 3
# AcPrNb2O8
Simulated X-ray diffraction stick pattern, Cu Kα. Input: a structure optimized by DFT (PBE).

Most intense lines, 10 to 80 degrees two-theta, most intense first:
2θ (°)  I_rel
27.45  100.0
44.95  30.6
55.15  28.5
32.65  21.8
51.77  17.2
30.04  14.8
46.84  13.6
56.66  13.4
72.37  12.9
17.80  12.2

```
AcPrNb2O8
1.0
-2.743 2.743 5.950
2.743 -2.743 5.950
2.743 2.743 -5.950
Ac Pr Nb O
1 1 2 8
Direct
0.000 0.000 0.000 Ac
0.250 0.750 0.500 Pr
0.500 0.500 0.000 Nb
0.750 0.250 0.500 Nb
0.264 0.661 0.098 O
0.339 0.437 0.602 O
0.422 0.004 0.092 O
0.563 0.165 0.902 O
0.670 0.578 0.582 O
0.835 0.736 0.398 O
0.912 0.330 0.908 O
0.996 0.088 0.418 O
```